1.
Diffraction record for Mg3Co2P2. The XRD peak list is simulated, not measured: it uses a structure optimized by DFT (PBE) and CuKα.
Kinematic intensities with the Lorentz-polarization factor, no thermal factor.

Top 10 peaks for 10° ≤ 2θ ≤ 80°, low angle first:
- 2θ = 18.69°, I 39.0
- 2θ = 20.19°, I 42.5
- 2θ = 25.88°, I 45.4
- 2θ = 38.23°, I 34.2
- 2θ = 40.51°, I 71.7
- 2θ = 44.29°, I 100.0
- 2θ = 44.71°, I 62.9
- 2θ = 49.35°, I 43.0
- 2θ = 54.12°, I 32.6
- 2θ = 68.77°, I 34.3

Structural model:
Cell lengths 5.0939, 5.0939, 11.6827 Å; angles 90.00, 90.00, 137.49 degrees
Sites, in units of the cell vectors:
Mg  0.0125  0.9875  0.7500
Mg  0.2790  0.7210  0.1042
Mg  0.2790  0.7210  0.3958
Mg  0.7210  0.2790  0.6042
Mg  0.7210  0.2790  0.8958
Mg  0.9875  0.0125  0.2500
Co  0.4326  0.5674  0.5878
Co  0.4326  0.5674  0.9122
Co  0.5674  0.4326  0.0878
Co  0.5674  0.4326  0.4122
P  0.0000  0.0000  0.0000
P  0.0000  0.0000  0.5000
P  0.3042  0.6958  0.7500
P  0.6958  0.3042  0.2500

2.
Diffraction record for MgTa2Co3Sb3. The XRD peak list is simulated, not measured: it uses a structure optimized by DFT (PBE) and CuKα.
Kinematic intensities with the Lorentz-polarization factor, no thermal factor.

Top 10 peaks for 10° ≤ 2θ ≤ 80°, low angle first:
- 2θ = 14.63°, I 9.8
- 2θ = 19.05°, I 5.9
- 2θ = 25.88°, I 8.2
- 2θ = 29.96°, I 48.7
- 2θ = 42.88°, I 100.0
- 2θ = 53.19°, I 13.4
- 2θ = 62.26°, I 15.9
- 2θ = 70.62°, I 17.7
- 2θ = 78.55°, I 23.6
- 2θ = 78.62°, I 8.0

Structural model:
Cell lengths 7.3072, 7.3072, 7.3003 Å; angles 99.60, 99.60, 119.97 degrees
Sites, in units of the cell vectors:
Mg  0.0847  0.9153  0.5000
Mg  0.9153  0.0847  0.0000
Ta  0.2518  0.7499  0.0061
Ta  0.4223  0.5890  0.5060
Ta  0.5890  0.4223  0.0060
Ta  0.7499  0.2518  0.5061
Co  0.1306  0.6134  0.6366
Co  0.3109  0.4777  0.1369
Co  0.4777  0.3109  0.6369
Co  0.6134  0.1306  0.1366
Co  0.7719  0.9576  0.6155
Co  0.9576  0.7719  0.1155
Sb  0.0026  0.4976  0.2573
Sb  0.1655  0.3241  0.7558
Sb  0.3241  0.1655  0.2558
Sb  0.4976  0.0026  0.7573
Sb  0.6800  0.8426  0.2496
Sb  0.8426  0.6800  0.7496

3.
Diffraction record for MgCoSbW. The XRD peak list is simulated, not measured: it uses a structure optimized by DFT (PBE) and CuKα.
Kinematic intensities with the Lorentz-polarization factor, no thermal factor.

Top 10 peaks for 10° ≤ 2θ ≤ 80°, low angle first:
- 2θ = 24.26°, I 37.4
- 2θ = 28.08°, I 7.9
- 2θ = 40.13°, I 100.0
- 2θ = 47.44°, I 19.3
- 2θ = 49.69°, I 2.2
- 2θ = 58.05°, I 16.7
- 2θ = 63.84°, I 8.2
- 2θ = 65.70°, I 2.9
- 2θ = 72.92°, I 33.4
- 2θ = 78.14°, I 6.3

Structural model:
Cell lengths 4.4941, 4.4941, 4.4941 Å; angles 60.00, 60.00, 60.00 degrees
Sites, in units of the cell vectors:
Mg  0.0000  0.0000  0.0000
Co  0.7500  0.7500  0.7500
Sb  0.5000  0.5000  0.5000
W  0.2500  0.2500  0.2500

4.
Diffraction record for Co6Mo. The XRD peak list is simulated, not measured: it uses a structure optimized by DFT (PBE) and CuKα.
Kinematic intensities with the Lorentz-polarization factor, no thermal factor.

Top 9 peaks for 10° ≤ 2θ ≤ 80°, low angle first:
- 2θ = 21.80°, I 29.8
- 2θ = 25.22°, I 1.2
- 2θ = 35.97°, I 0.9
- 2θ = 42.46°, I 15.0
- 2θ = 44.44°, I 100.0
- 2θ = 51.79°, I 46.4
- 2θ = 56.83°, I 6.1
- 2θ = 69.12°, I 4.5
- 2θ = 76.28°, I 27.1

Structural model:
Cell lengths 4.9930, 4.9930, 4.9930 Å; angles 60.00, 60.00, 60.00 degrees
Sites, in units of the cell vectors:
Co  0.0000  0.0000  0.5000
Co  0.0000  0.5000  0.0000
Co  0.0000  0.5000  0.5000
Co  0.5000  0.0000  0.0000
Co  0.5000  0.0000  0.5000
Co  0.5000  0.5000  0.0000
Mo  0.0000  0.0000  0.0000

5.
Diffraction record for Co2Mo4N. The XRD peak list is simulated, not measured: it uses a structure optimized by DFT (PBE) and CuKα.
Kinematic intensities with the Lorentz-polarization factor, no thermal factor.

Top 10 peaks for 10° ≤ 2θ ≤ 80°, low angle first:
- 2θ = 34.81°, I 23.8
- 2θ = 39.29°, I 39.9
- 2θ = 41.78°, I 100.0
- 2θ = 45.68°, I 32.8
- 2θ = 48.63°, I 6.1
- 2θ = 54.15°, I 8.4
- 2θ = 63.62°, I 4.3
- 2θ = 68.34°, I 8.6
- 2θ = 71.22°, I 35.6
- 2θ = 72.92°, I 10.0

Structural model:
Cell lengths 7.9442, 7.9442, 7.9442 Å; angles 60.00, 60.00, 60.00 degrees
Sites, in units of the cell vectors:
Co  0.1210  0.7930  0.7930
Co  0.2070  0.2070  0.2070
Co  0.2070  0.2070  0.8790
Co  0.2070  0.8790  0.2070
Co  0.7930  0.1210  0.7930
Co  0.7930  0.7930  0.1210
Co  0.7930  0.7930  0.7930
Co  0.8790  0.2070  0.2070
Mo  0.0000  0.0000  0.0000
Mo  0.0000  0.0000  0.5000
Mo  0.0000  0.5000  0.0000
Mo  0.1856  0.1856  0.5644
Mo  0.1856  0.5644  0.1856
Mo  0.1856  0.5644  0.5644
Mo  0.4356  0.4356  0.8144
Mo  0.4356  0.8144  0.4356
Mo  0.4356  0.8144  0.8144
Mo  0.5000  0.0000  0.0000
Mo  0.5644  0.1856  0.1856
Mo  0.5644  0.1856  0.5644
Mo  0.5644  0.5644  0.1856
Mo  0.8144  0.4356  0.4356
Mo  0.8144  0.4356  0.8144
Mo  0.8144  0.8144  0.4356
N  0.0000  0.5000  0.5000
N  0.5000  0.0000  0.5000
N  0.5000  0.5000  0.0000
N  0.5000  0.5000  0.5000

6.
Diffraction record for Nb4Co2MoSe12. The XRD peak list is simulated, not measured: it uses a structure optimized by DFT (PBE) and CuKα.
Kinematic intensities with the Lorentz-polarization factor, no thermal factor.

Top 10 peaks for 10° ≤ 2θ ≤ 80°, low angle first:
- 2θ = 12.95°, I 100.0
- 2θ = 13.75°, I 26.8
- 2θ = 13.92°, I 32.9
- 2θ = 28.13°, I 27.1
- 2θ = 35.40°, I 61.5
- 2θ = 36.73°, I 35.6
- 2θ = 37.18°, I 33.1
- 2θ = 40.19°, I 40.6
- 2θ = 44.18°, I 40.3
- 2θ = 54.23°, I 34.5

Structural model:
Cell lengths 7.0424, 7.0424, 19.3388 Å; angles 109.04, 109.04, 27.79 degrees
Sites, in units of the cell vectors:
Nb  0.1177  0.1177  0.1458
Nb  0.2418  0.2418  0.4064
Nb  0.7582  0.7582  0.5936
Nb  0.8823  0.8823  0.8542
Co  0.2730  0.2730  0.7175
Co  0.7270  0.7270  0.2825
Mo  0.5000  0.5000  0.0000
Se  0.1005  0.1005  0.2792
Se  0.1253  0.1253  0.6099
Se  0.3054  0.3054  0.2339
Se  0.3081  0.3081  0.9287
Se  0.3708  0.3708  0.5487
Se  0.4613  0.4613  0.1177
Se  0.5387  0.5387  0.8823
Se  0.6292  0.6292  0.4513
Se  0.6919  0.6919  0.0713
Se  0.6946  0.6946  0.7661
Se  0.8747  0.8747  0.3901
Se  0.8995  0.8995  0.7208

7.
Diffraction record for CoMoOs2. The XRD peak list is simulated, not measured: it uses a structure optimized by DFT (PBE) and CuKα.
Kinematic intensities with the Lorentz-polarization factor, no thermal factor.

Top 10 peaks for 10° ≤ 2θ ≤ 80°, low angle first:
- 2θ = 18.84°, I 15.0
- 2θ = 28.15°, I 13.3
- 2θ = 38.18°, I 24.7
- 2θ = 39.19°, I 6.9
- 2θ = 42.16°, I 25.1
- 2θ = 43.84°, I 100.0
- 2θ = 58.18°, I 14.4
- 2θ = 68.97°, I 11.3
- 2θ = 69.12°, I 5.5
- 2θ = 78.24°, I 18.2

Structural model:
Cell lengths 4.2865, 5.4462, 5.4462 Å; angles 120.12, 90.00, 90.00 degrees
Sites, in units of the cell vectors:
Co  0.2500  0.0754  0.9246
Co  0.7500  0.9246  0.0754
Mo  0.2500  0.5916  0.9199
Mo  0.7500  0.9199  0.5916
Os  0.2500  0.0712  0.3988
Os  0.2500  0.5794  0.4078
Os  0.7500  0.3988  0.0712
Os  0.7500  0.4078  0.5794

8.
Diffraction record for Co3Mo2Os3. The XRD peak list is simulated, not measured: it uses a structure optimized by DFT (PBE) and CuKα.
Kinematic intensities with the Lorentz-polarization factor, no thermal factor.

Top 10 peaks for 10° ≤ 2θ ≤ 80°, low angle first:
- 2θ = 19.00°, I 6.8
- 2θ = 21.00°, I 22.4
- 2θ = 28.46°, I 3.8
- 2θ = 38.55°, I 34.6
- 2θ = 42.74°, I 23.5
- 2θ = 44.31°, I 100.0
- 2θ = 58.91°, I 20.3
- 2θ = 69.75°, I 15.9
- 2θ = 73.76°, I 4.8
- 2θ = 79.37°, I 17.9

Structural model:
Cell lengths 5.3928, 5.3928, 4.2313 Å; angles 90.00, 90.00, 120.00 degrees
Sites, in units of the cell vectors:
Co  0.0011  0.5006  0.0000
Co  0.4994  0.5006  0.0000
Co  0.4994  0.9989  0.0000
Mo  0.0000  0.0000  0.0000
Mo  0.3333  0.6667  0.5000
Os  0.3437  0.1719  0.5000
Os  0.8281  0.1719  0.5000
Os  0.8281  0.6563  0.5000